(1)
For Ti5Fe11O24, DFT lattice parameters and positions (GGA+U) gives the theoretical X-ray powder pattern in this record (Cu Kα, 1.54184 Å).

Crystal structure
Cell: 5.1660 5.5910 15.0656 Å, 84.35 89.81 89.91°
Space group P1 (No. 1)
Unique sites:
Ti 0.0000 0.0000 0.0000
Ti 0.0007 0.5869 0.6453
Ti 0.5006 0.0856 0.3919
Ti 0.5060 0.0885 0.8915
Ti 0.5092 0.5016 0.2451
Fe 0.0016 0.5871 0.1456
Fe 0.0033 0.0009 0.4966
Fe 0.0064 0.5790 0.8933
Fe 0.0066 0.5844 0.3931
Fe 0.5004 0.5053 0.7476
Fe 0.5010 0.5001 0.4959
Fe 0.5017 0.5092 0.9973
Fe 0.5036 0.0827 0.6436
Fe 0.5053 0.0864 0.1444
Fe 0.9969 0.0029 0.7472
Fe 0.9982 0.0037 0.2464
O 0.1353 0.9491 0.1126
O 0.1530 0.6292 0.7670
O 0.1581 0.9420 0.6184
O 0.1795 0.6370 0.2680
O 0.2037 0.2672 0.9512
O 0.2093 0.2826 0.4488
O 0.3181 0.8088 0.9450
O 0.3230 0.8046 0.4454
O 0.3305 0.4467 0.6183
O 0.3496 0.4568 0.1178
O 0.3662 0.1418 0.2781
O 0.3741 0.1386 0.7736
O 0.6295 0.4385 0.8712
O 0.6348 0.4425 0.3682
O 0.6574 0.1481 0.5227
O 0.6743 0.1448 0.0176
O 0.6905 0.7720 0.2011
O 0.6914 0.7907 0.6918
O 0.8024 0.3186 0.6894
O 0.8051 0.3094 0.1961
O 0.8315 0.9565 0.8720
O 0.8316 0.9545 0.3750
O 0.8499 0.6480 0.0211
O 0.8513 0.6375 0.5281

The 10 most intense peaks (2θ = 5–70°), low angle first:
(1 1 0), 2θ 23.5, rel. 29; (0 2 0), 2θ 32.2, rel. 47; (1 1 4), 2θ 32.4, rel. 44; (-1 1 4), 2θ 32.5, rel. 43; (1 -1 4), 2θ 34.8, rel. 100; (2 -2 0), 2θ 48.1, rel. 36; (0 0 8), 2θ 48.6, rel. 17; (1 3 -4), 2θ 60.6, rel. 16; (-3 1 4), 2θ 61.0, rel. 16; (0 2 -8), 2θ 62.4, rel. 30

(2)
For Mg3CrO4, DFT lattice parameters and positions (GGA+U) gives the theoretical X-ray powder pattern in this record (Cu Kα, 1.54184 Å).

Crystal structure
Cell: 4.3151 4.3151 4.3151 Å, 90.00 90.00 90.00°
Space group Pm-3m (No. 221)
Unique sites:
Mg 0.0000 0.0000 0.5000
Cr 0.5000 0.5000 0.5000
O 0.0000 0.0000 0.0000
O 0.0000 0.5000 0.5000

The 9 most intense peaks (2θ = 5–70°), low angle first:
(1 0 0), 2θ 20.6, rel. 14; (1 1 0), 2θ 29.3, rel. 12; (1 1 1), 2θ 36.1, rel. 23; (2 0 0), 2θ 41.9, rel. 100; (2 1 0), 2θ 47.1, rel. 5; (2 1 1), 2θ 51.9, rel. 4; (2 2 0), 2θ 60.7, rel. 56; (3 0 0), 2θ 64.8, rel. 2; (3 1 0), 2θ 68.8, rel. 1

(3)
For MnP2O7, DFT lattice parameters and positions (GGA+U) gives the theoretical X-ray powder pattern in this record (Cu Kα, 1.54184 Å).

Crystal structure
Cell: 4.8961 12.4195 4.8968 Å, 90.00 119.98 90.00°
Space group P2_1/m (No. 11)
Unique sites:
Mn 0.0000 0.0000 0.0000
P 0.3337 0.1226 0.6667
O 0.0587 0.0905 0.7162
O 0.2838 0.0908 0.3424
O 0.3341 0.2500 0.6660
O 0.3422 0.5906 0.0583

The 10 most intense peaks (2θ = 5–70°), low angle first:
(0 2 0), 2θ 14.3, rel. 85; (1 1 -1), 2θ 22.1, rel. 100; (1 2 0), 2θ 25.4, rel. 77; (1 3 0), 2θ 30.2, rel. 19; (1 4 0), 2θ 35.8, rel. 38; (1 0 1), 2θ 36.7, rel. 25; (1 3 -2), 2θ 42.9, rel. 20; (2 4 0), 2θ 52.2, rel. 17; (0 8 0), 2θ 59.6, rel. 15; (0 0 3), 2θ 66.1, rel. 17

(4)
For SrMg6FeO8, DFT lattice parameters and positions (GGA+U) gives the theoretical X-ray powder pattern in this record (Cu Kα, 1.54184 Å).

Crystal structure
Cell: 4.5269 4.5269 8.7077 Å, 90.00 90.00 90.00°
Space group P4/mmm (No. 123)
Unique sites:
Sr 0.0000 0.0000 0.0000
Mg 0.0000 0.5000 0.2618
Mg 0.5000 0.5000 0.0000
Mg 0.5000 0.5000 0.5000
Fe 0.0000 0.0000 0.5000
O 0.0000 0.0000 0.2710
O 0.0000 0.5000 0.0000
O 0.0000 0.5000 0.5000
O 0.5000 0.5000 0.2511

The 10 most intense peaks (2θ = 5–70°), low angle first:
(1 0 0), 2θ 19.6, rel. 31; (0 0 2), 2θ 20.4, rel. 15; (1 1 0), 2θ 27.9, rel. 13; (1 0 2), 2θ 28.4, rel. 26; (1 1 2), 2θ 34.8, rel. 45; (2 0 0), 2θ 39.8, rel. 100; (0 0 4), 2θ 41.5, rel. 42; (2 2 0), 2θ 57.6, rel. 30; (2 0 4), 2θ 58.9, rel. 53; (3 1 2), 2θ 69.1, rel. 16

What is the formula in the fourth record? SrMg6FeO8